1.
For LiSmY2Pd4, a cell relaxed with PBE gives the computed powder XRD pattern in this record (copper Kα).
Intensities are scaled so that the largest is 100.

Principal peaks in the range 2θ from 15° to 90°, in order of rising 2θ:
21.23°, intensity 16, hkl 1 0 1; 28.16°, intensity 12, hkl 0 1 5; 36.61°, intensity 100, hkl 1 1 0; 36.91°, intensity 92, hkl 0 1 8; 52.97°, intensity 32, hkl 2 0 8; 65.92°, intensity 17, hkl 3 0 0; 66.11°, intensity 33, hkl 1 2 8; 66.70°, intensity 13, hkl 1 0 16; 89.41°, intensity 15, hkl 3 1 8; 89.94°, intensity 12, hkl 2 1 16

Atomic structure:
```
data_LiSmY2Pd4
_chemical_formula_sum 'Li3 Sm3 Y6 Pd12'
_cell_length_a 4.9087
_cell_length_b 4.9087
_cell_length_c 23.7689
_cell_angle_alpha 90.00
_cell_angle_beta 90.00
_cell_angle_gamma 120.00
_symmetry_space_group_name_H-M 'R -3 m'
_symmetry_Int_Tables_number 166
_symmetry_space_group_name_Hall '-R 3 2"'
loop_
_atom_site_label
_atom_site_type_symbol
_atom_site_fract_x
_atom_site_fract_y
_atom_site_fract_z
Li1 Li 0.0000 0.0000 0.0000
Sm1 Sm 0.0000 0.0000 0.5000
Y1 Y 0.0000 0.0000 0.2585
Pd1 Pd 0.0000 0.0000 0.1229
Pd2 Pd 0.0000 0.0000 0.3786
```

=====

2.
For Ce5HoIr6, a cell relaxed with PBE gives the computed powder XRD pattern in this record (copper Kα).
Intensities are scaled so that the largest is 100.

Principal peaks in the range 2θ from 15° to 90°, in order of rising 2θ:
27.11°, intensity 2, hkl 1 3 -1; 31.43°, intensity 100, hkl 1 3 1; 45.05°, intensity 75, hkl 2 0 2; 53.38°, intensity 2, hkl 3 3 1; 55.96°, intensity 26, hkl 4 0 0; 65.61°, intensity 12, hkl 2 6 2; 74.52°, intensity 17, hkl 4 6 0; 74.59°, intensity 17, hkl 3 3 3; 83.08°, intensity 13, hkl 4 6 -4; 83.19°, intensity 13, hkl 5 3 1

Atomic structure:
```
data_Ce5HoIr6
_chemical_formula_sum 'Ce10 Ho2 Ir12'
_cell_length_a 6.969
_cell_length_b 12.089
_cell_length_c 6.967
_cell_angle_alpha 90.00
_cell_angle_beta 109.49
_cell_angle_gamma 90.00
_symmetry_space_group_name_H-M 'C 1 2/m 1'
_symmetry_Int_Tables_number 12
loop_
_symmetry_equiv_pos_as_xyz
'x,y,z'
'-x,-y,-z'
'-x,y,-z'
'x,-y,z'
'x+1/2,y+1/2,z'
'-x+1/2,-y+1/2,-z'
'-x+1/2,y+1/2,-z'
'x+1/2,-y+1/2,z'
loop_
_atom_site_label
_atom_site_type_symbol
_atom_site_fract_x
_atom_site_fract_y
_atom_site_fract_z
Ce1 Ce 0.000 0.000 0.000
Ce2 Ce 0.000 0.166 0.500
Ce3 Ce 0.000 0.332 0.000
Ho1 Ho 0.000 0.500 0.500
Ir1 Ir 0.249 0.000 0.754
Ir2 Ir 0.249 0.168 0.250
```

=====

3.
For Pm12Er7Tm, a cell relaxed with PBE gives the computed powder XRD pattern in this record (copper Kα).
Intensities are scaled so that the largest is 100.

Principal peaks in the range 2θ from 15° to 90°, in order of rising 2θ:
26.52°, intensity 19, hkl 1 0 4; 29.62°, intensity 61, hkl 4 -3 1; 30.00°, intensity 40, hkl 0 2 4; 31.63°, intensity 100, hkl 3 1 2; 38.42°, intensity 17, hkl 3 -2 5; 38.77°, intensity 17, hkl 4 -3 4; 41.86°, intensity 17, hkl 4 1 3; 51.25°, intensity 15, hkl 2 5 0; 55.10°, intensity 16, hkl 7 -5 3; 58.27°, intensity 12, hkl 3 3 6

Atomic structure:
```
data_Pm12Er7Tm
_chemical_formula_sum 'Pm36 Er21 Tm3'
_cell_length_a 12.8545
_cell_length_b 12.8545
_cell_length_c 14.1043
_cell_angle_alpha 90.00
_cell_angle_beta 90.00
_cell_angle_gamma 120.00
_symmetry_space_group_name_H-M 'R -3'
_symmetry_Int_Tables_number 148
_symmetry_space_group_name_Hall '-R 3'
loop_
_atom_site_label
_atom_site_type_symbol
_atom_site_fract_x
_atom_site_fract_y
_atom_site_fract_z
Pm1 Pm 0.0011 0.5682 0.2472
Pm2 Pm 0.0660 0.8688 0.3413
Er1 Er 0.0000 0.0000 0.5000
Er2 Er 0.0663 0.1988 0.8552
Tm1 Tm 0.0000 0.0000 0.0000
```

=====

4.
For AcCoSi2Tc, a cell relaxed with PBE gives the computed powder XRD pattern in this record (copper Kα).
Intensities are scaled so that the largest is 100.

Principal peaks in the range 2θ from 15° to 90°, in order of rising 2θ:
22.78°, intensity 74, hkl 1 0 1; 33.47°, intensity 62, hkl 1 0 3; 34.47°, intensity 21, hkl 0 0 4; 34.72°, intensity 100, hkl 1 1 2; 42.97°, intensity 39, hkl 2 0 0; 49.18°, intensity 20, hkl 2 1 1; 55.53°, intensity 29, hkl 2 1 3; 56.21°, intensity 21, hkl 2 0 4; 61.91°, intensity 24, hkl 1 1 6; 73.41°, intensity 22, hkl 3 1 2

Atomic structure:
```
data_AcCoSi2Tc
_chemical_formula_sum 'Ac2 Co2 Si4 Tc2'
_cell_length_a 4.210
_cell_length_b 4.210
_cell_length_c 10.408
_cell_angle_alpha 90.00
_cell_angle_beta 90.00
_cell_angle_gamma 90.00
_symmetry_space_group_name_H-M 'I -4 m 2'
_symmetry_Int_Tables_number 119
_symmetry_space_group_name_Hall 'I -4 -2'
loop_
_atom_site_label
_atom_site_type_symbol
_atom_site_fract_x
_atom_site_fract_y
_atom_site_fract_z
Ac1 Ac 0.000 0.000 0.000
Co1 Co 0.000 0.500 0.750
Si1 Si 0.000 0.000 0.355
Tc1 Tc 0.000 0.500 0.250
```

=====

5.
For MgCuP, a cell relaxed with PBE gives the computed powder XRD pattern in this record (copper Kα).
Intensities are scaled so that the largest is 100.

Principal peaks in the range 2θ from 15° to 90°, in order of rising 2θ:
25.82°, intensity 18, hkl 1 0 0; 26.98°, intensity 33, hkl 0 0 2; 29.20°, intensity 74, hkl 1 0 1; 37.69°, intensity 100, hkl 1 0 2; 45.54°, intensity 98, hkl 1 1 0; 49.06°, intensity 50, hkl 1 0 3; 53.73°, intensity 26, hkl 1 1 2; 60.55°, intensity 23, hkl 2 0 2; 78.92°, intensity 20, hkl 2 1 2; 86.78°, intensity 18, hkl 2 1 3

Atomic structure:
```
data_MgCuP
_chemical_formula_sum 'Mg2 Cu2 P2'
_cell_length_a 3.9836
_cell_length_b 3.9836
_cell_length_c 6.6106
_cell_angle_alpha 90.00
_cell_angle_beta 90.00
_cell_angle_gamma 120.00
_symmetry_space_group_name_H-M 'P 63 m c'
_symmetry_Int_Tables_number 186
_symmetry_space_group_name_Hall 'P 6c -2c'
loop_
_atom_site_label
_atom_site_type_symbol
_atom_site_fract_x
_atom_site_fract_y
_atom_site_fract_z
Mg1 Mg 0.0000 0.0000 0.0000
Cu1 Cu 0.3333 0.6667 0.2034
P1 P 0.3333 0.6667 0.8008
```

=====

What did the fourth record say?
For AcCoSi2Tc, a cell relaxed with PBE gives the computed powder XRD pattern in this record (copper Kα).
Intensities are scaled so that the largest is 100.

Principal peaks in the range 2θ from 15° to 90°, in order of rising 2θ:
22.78°, intensity 74, hkl 1 0 1; 33.47°, intensity 62, hkl 1 0 3; 34.47°, intensity 21, hkl 0 0 4; 34.72°, intensity 100, hkl 1 1 2; 42.97°, intensity 39, hkl 2 0 0; 49.18°, intensity 20, hkl 2 1 1; 55.53°, intensity 29, hkl 2 1 3; 56.21°, intensity 21, hkl 2 0 4; 61.91°, intensity 24, hkl 1 1 6; 73.41°, intensity 22, hkl 3 1 2

Atomic structure:
```
data_AcCoSi2Tc
_chemical_formula_sum 'Ac2 Co2 Si4 Tc2'
_cell_length_a 4.210
_cell_length_b 4.210
_cell_length_c 10.408
_cell_angle_alpha 90.00
_cell_angle_beta 90.00
_cell_angle_gamma 90.00
_symmetry_space_group_name_H-M 'I -4 m 2'
_symmetry_Int_Tables_number 119
_symmetry_space_group_name_Hall 'I -4 -2'
loop_
_atom_site_label
_atom_site_type_symbol
_atom_site_fract_x
_atom_site_fract_y
_atom_site_fract_z
Ac1 Ac 0.000 0.000 0.000
Co1 Co 0.000 0.500 0.750
Si1 Si 0.000 0.000 0.355
Tc1 Tc 0.000 0.500 0.250
```

=====

Which formula does entry 5 have? MgCuP